1.
Theoretical XRD peak list
Compound: SmHoGa2Pd4
Radiation: λ = 1.5418 Å (Cu Kα)
Structure: a PBE-relaxed structure
Kinematic intensities with the Lorentz-polarization factor, no thermal factor.

Cell lengths 4.4161, 4.4161, 9.1330 Å; angles 90.00, 90.00, 120.00 degrees
Space group P-6m2 (No. 187)
Asymmetric unit:
Sm (0.0000, 0.0000, 0.0000)
Ho (0.3333, 0.6667, 0.5000)
Ga (0.6667, 0.3333, 0.2547)
Pd (0.0000, 0.0000, 0.3354)
Pd (0.3333, 0.6667, 0.1775)

Peak list (12 most intense, 5 to 70 degrees two-theta, in order of rising 2θ)
two_theta, I (rel.)
23.3, 22
25.2, 6
30.5, 15
37.8, 100
39.5, 3
40.9, 77
47.6, 3
51.8, 3
56.9, 30
58.1, 6
60.9, 3
66.1, 12

2.
Theoretical XRD peak list
Compound: SiAg2HgTe3Se
Radiation: λ = 1.5418 Å (Cu Kα)
Structure: a PBE-relaxed structure
Kinematic intensities with the Lorentz-polarization factor, no thermal factor.

Cell lengths 8.8272, 8.9008, 7.6115 Å; angles 90.00, 124.98, 90.00 degrees
Space group Cm (No. 8)
Asymmetric unit:
Si (0.0000, 0.0000, 0.0000)
Ag (0.4953, 0.2654, 0.5231)
Hg (0.4992, 0.0000, 0.0138)
Te (0.1142, 0.2251, 0.2548)
Te (0.1448, 0.5000, 0.7542)
Se (0.1065, 0.0000, 0.7829)

Peak list (12 most intense, 5 to 70 degrees two-theta, in order of rising 2θ)
two_theta, I (rel.)
15.8, 13
24.6, 100
24.8, 36
25.6, 10
32.6, 12
40.5, 16
40.7, 35
40.9, 49
48.0, 10
48.1, 20
48.3, 17
65.3, 12

3.
Theoretical XRD peak list
Compound: Li2Sm2Si3
Radiation: λ = 1.5418 Å (Cu Kα)
Structure: a PBE-relaxed structure
Kinematic intensities with the Lorentz-polarization factor, no thermal factor.

Cell lengths 4.3386, 18.2892, 6.7432 Å; angles 90.00, 90.00, 90.00 degrees
Space group Cmcm (No. 63)
Asymmetric unit:
Li (0.0000, 0.1885, 0.0612)
Sm (0.0000, 0.3421, 0.2500)
Sm (0.0000, 0.4480, 0.7500)
Si (0.0000, 0.0586, 0.5737)
Si (0.0000, 0.2800, 0.7500)

Peak list (12 most intense, 5 to 70 degrees two-theta, in order of rising 2θ)
two_theta, I (rel.)
9.7, 20
21.0, 44
23.5, 49
26.4, 37
32.2, 20
34.0, 65
34.7, 100
41.6, 24
44.9, 20
48.4, 15
52.2, 18
57.0, 17